Fe5Si4W: computed PXRD pattern (Cu Kα), based on a cell relaxed with GGA-PBE.
Kinematic intensities with the Lorentz-polarization factor, no thermal factor.

Most intense lines, 2θ from 5° to 70°, in order of rising 2θ:
2θ 6.1, I = 100, hkl 0 0 1; 2θ 12.1, I = 24, hkl 0 0 2; 2θ 18.2, I = 10, hkl 0 0 3; 2θ 33.2, I = 18, hkl 1 0 1; 2θ 34.9, I = 17, hkl 1 0 2; 2θ 37.0, I = 8, hkl 0 0 6; 2θ 37.6, I = 16, hkl 1 0 3; 2θ 41.2, I = 19, hkl 1 0 4; 2θ 45.4, I = 76, hkl 1 0 5; 2θ 46.8, I = 41, hkl 1 1 0; 2θ 61.1, I = 9, hkl 1 1 6; 2θ 68.3, I = 13, hkl 2 0 0

Structure:
a b c (Å): 2.746 2.746 14.591
angles (deg): 90.00 90.00 90.00
Space group P4/mmm (No. 123)
Unique sites:
Fe  0.000  0.000  0.000 [1 per cell]
Fe  0.000  0.000  0.188 [2 per cell]
Fe  0.000  0.000  0.375 [2 per cell]
Si  0.500  0.500  0.095 [2 per cell]
Si  0.500  0.500  0.287 [2 per cell]
W  0.500  0.500  0.500 [1 per cell]



Ac3Sb2Au4: computed PXRD pattern (Cu Kα), based on a cell relaxed with GGA-PBE.
Kinematic intensities with the Lorentz-polarization factor, no thermal factor.

Most intense lines, 2θ from 5° to 70°, in order of rising 2θ:
2θ 29.5, I = 46, hkl 4 0 -1; 2θ 29.9, I = 76, hkl 3 1 0; 2θ 30.4, I = 88, hkl 1 1 2; 2θ 30.6, I = 38, hkl 0 0 3; 2θ 37.0, I = 100, hkl 3 1 -3; 2θ 37.2, I = 51, hkl 0 2 0; 2θ 43.2, I = 32, hkl 4 0 2; 2θ 48.2, I = 26, hkl 4 2 -1; 2θ 48.9, I = 21, hkl 0 2 3; 2θ 57.2, I = 23, hkl 7 1 -1; 2θ 58.3, I = 26, hkl 4 2 2; 2θ 59.1, I = 25, hkl 1 1 5

Structure:
a b c (Å): 12.097 4.835 9.292
angles (deg): 90.00 109.35 90.00
Space group C2/m (No. 12)
Unique sites:
Ac  0.000  0.000  0.000 [2 per cell]
Ac  0.160  0.500  0.675 [4 per cell]
Sb  0.119  0.500  0.281 [4 per cell]
Au  0.047  0.000  0.384 [4 per cell]
Au  0.244  0.500  0.069 [4 per cell]



BeAl2Ag: computed PXRD pattern (Cu Kα), based on a cell relaxed with GGA-PBE.
Kinematic intensities with the Lorentz-polarization factor, no thermal factor.

Most intense lines, 2θ from 5° to 70°, in order of rising 2θ:
2θ 15.8, I = 100, hkl 0 0 1; 2θ 23.7, I = 17, hkl 0 1 0; 2θ 28.6, I = 67, hkl 0 1 1; 2θ 35.4, I = 38, hkl 1 0 1; 2θ 39.8, I = 63, hkl 1 1 0; 2θ 40.2, I = 60, hkl 0 1 2; 2θ 43.1, I = 33, hkl 1 1 1; 2θ 45.5, I = 41, hkl 1 0 2; 2θ 48.5, I = 17, hkl 0 2 0; 2θ 61.5, I = 14, hkl 1 2 1; 2θ 64.7, I = 16, hkl 1 1 3; 2θ 68.7, I = 23, hkl 1 2 2

Structure:
a b c (Å): 2.839 3.756 5.603
angles (deg): 90.00 90.00 90.00
Space group Pmmm (No. 47)
Unique sites:
Be  0.000  0.000  0.000 [1 per cell]
Al  0.500  0.500  0.228 [2 per cell]
Ag  0.000  0.000  0.500 [1 per cell]



Ba3ErIrRuO9: computed PXRD pattern (Cu Kα), based on a cell relaxed with GGA-PBE.
Kinematic intensities with the Lorentz-polarization factor, no thermal factor.

Most intense lines, 2θ from 5° to 70°, in order of rising 2θ:
2θ 18.3, I = 16, hkl 1 0 1; 2θ 25.2, I = 18, hkl 1 0 3; 2θ 30.0, I = 63, hkl 1 0 4; 2θ 30.1, I = 100, hkl 1 1 0; 2θ 35.3, I = 15, hkl 1 0 5; 2θ 39.6, I = 13, hkl 2 0 3; 2θ 43.0, I = 34, hkl 2 0 4; 2θ 46.9, I = 12, hkl 1 0 7; 2θ 47.1, I = 9, hkl 2 0 5; 2θ 53.4, I = 44, hkl 3 0 0; 2θ 62.6, I = 18, hkl 2 2 0; 2θ 65.6, I = 9, hkl 2 1 7

Structure:
a b c (Å): 5.9372 5.9372 14.6272
angles (deg): 90.00 90.00 120.00
Space group P6_3mc (No. 186)
Unique sites:
Ba  0.0000  0.0000  0.0000 [2 per cell]
Ba  0.3333  0.6667  0.1573 [2 per cell]
Ba  0.3333  0.6667  0.8407 [2 per cell]
Er  0.0000  0.0000  0.2496 [2 per cell]
Ir  0.3333  0.6667  0.5865 [2 per cell]
Ru  0.3333  0.6667  0.4134 [2 per cell]
O  0.0206  0.5103  0.4999 [6 per cell]
O  0.1755  0.3509  0.3379 [6 per cell]
O  0.1755  0.3510  0.6652 [6 per cell]



B3C5: computed PXRD pattern (Cu Kα), based on a cell relaxed with GGA-PBE.
Kinematic intensities with the Lorentz-polarization factor, no thermal factor.

Most intense lines, 2θ from 5° to 70°, in order of rising 2θ:
2θ 18.0, I = 7, hkl 0 1 0; 2θ 21.8, I = 26, hkl 0 0 1; 2θ 28.5, I = 3, hkl 0 1 1; 2θ 34.9, I = 2, hkl 1 0 0; 2θ 39.6, I = 1, hkl 1 1 0; 2θ 41.6, I = 100, hkl 1 0 1; 2θ 43.0, I = 91, hkl 0 2 1; 2θ 48.4, I = 1, hkl 0 1 2; 2θ 57.8, I = 4, hkl 1 0 2; 2θ 58.9, I = 1, hkl 0 2 2; 2θ 60.9, I = 1, hkl 0 3 1; 2θ 69.2, I = 1, hkl 0 0 3

Structure:
a b c (Å): 2.568 4.918 4.072
angles (deg): 90.00 90.00 90.00
Space group Pmm2 (No. 25)
Unique sites:
B  0.000  0.000  0.000 [1 per cell]
B  0.000  0.273  0.697 [2 per cell]
C  0.000  0.500  0.000 [1 per cell]
C  0.500  0.000  0.253 [1 per cell]
C  0.500  0.254  0.447 [2 per cell]
C  0.500  0.500  0.213 [1 per cell]